1.
Computed powder diffractogram of SmSi2Pd2 for Cu Kα (weighted mean of Kα1 and Kα2), from DFT lattice parameters and positions (PBE).
Lines closer than 0.1° are merged.

Cell: 5.8129 5.8129 5.8129 Å, 137.56 137.56 61.58°
Fractional positions:
Sm 0.0000 0.0000 0.0000
Si 0.3820 0.3820 0.0000
Si 0.6180 0.6180 0.0000
Pd 0.2500 0.7500 0.5000
Pd 0.7500 0.2500 0.5000

Principal peaks in the range 2θ from 10° to 80°, most intense first:
- 2θ = 35.1°, I 100
- 2θ = 43.0°, I 37
- 2θ = 34.3°, I 26
- 2θ = 22.9°, I 24
- 2θ = 73.7°, I 23
- 2θ = 57.3°, I 17
- 2θ = 36.0°, I 16
- 2θ = 64.1°, I 15
- 2θ = 56.1°, I 13
- 2θ = 62.4°, I 12

***

2.
Computed powder diffractogram of SmSiPd2 for Cu Kα (weighted mean of Kα1 and Kα2), from DFT lattice parameters and positions (PBE).
Lines closer than 0.1° are merged.

Cell: 7.5156 6.9679 5.6454 Å, 90.00 90.00 90.00°
Fractional positions:
Sm 0.0312 0.2500 0.1450
Sm 0.4688 0.7500 0.6450
Sm 0.5312 0.2500 0.3550
Sm 0.9688 0.7500 0.8550
Si 0.1233 0.7500 0.3525
Si 0.3767 0.2500 0.8525
Si 0.6233 0.7500 0.1475
Si 0.8767 0.2500 0.6475
Pd 0.1760 0.0519 0.5932
Pd 0.1760 0.4481 0.5932
Pd 0.3240 0.5519 0.0932
Pd 0.3240 0.9481 0.0932
Pd 0.6760 0.0519 0.9068
Pd 0.6760 0.4481 0.9068
Pd 0.8240 0.5519 0.4068
Pd 0.8240 0.9481 0.4068

Principal peaks in the range 2θ from 10° to 80°, most intense first:
- 2θ = 36.4°, I 100
- 2θ = 35.1°, I 89
- 2θ = 39.3°, I 78
- 2θ = 32.5°, I 76
- 2θ = 31.3°, I 71
- 2θ = 33.9°, I 59
- 2θ = 38.7°, I 48
- 2θ = 43.8°, I 43
- 2θ = 63.8°, I 37
- 2θ = 42.1°, I 35

***

3.
Computed powder diffractogram of Sm2Si3Pd for Cu Kα (weighted mean of Kα1 and Kα2), from DFT lattice parameters and positions (PBE).
Lines closer than 0.1° are merged.

Cell: 7.7645 7.7645 7.7645 Å, 150.19 148.36 44.03°
Fractional positions:
Sm 0.0000 0.0000 0.0000
Sm 0.7624 0.2624 0.5000
Si 0.3365 0.8365 0.5000
Si 0.4276 0.4276 0.0000
Si 0.5912 0.5912 0.0000
Pd 0.1713 0.6713 0.5000

Principal peaks in the range 2θ from 10° to 80°, most intense first:
- 2θ = 33.3°, I 100
- 2θ = 29.1°, I 39
- 2θ = 37.8°, I 33
- 2θ = 60.5°, I 20
- 2θ = 21.9°, I 19
- 2θ = 42.7°, I 19
- 2θ = 38.5°, I 16
- 2θ = 45.4°, I 16
- 2θ = 52.5°, I 15
- 2θ = 24.7°, I 14

***

4.
Computed powder diffractogram of Sm3Si6Pd20 for Cu Kα (weighted mean of Kα1 and Kα2), from DFT lattice parameters and positions (PBE).
Lines closer than 0.1° are merged.

Cell: 8.7572 8.7572 8.7572 Å, 60.00 60.00 60.00°
Fractional positions:
Sm 0.0000 0.0000 0.0000
Sm 0.2500 0.2500 0.2500
Sm 0.7500 0.7500 0.7500
Si 0.2671 0.2671 0.7329
Si 0.2671 0.7329 0.2671
Si 0.2671 0.7329 0.7329
Si 0.7329 0.2671 0.2671
Si 0.7329 0.2671 0.7329
Si 0.7329 0.7329 0.2671
Pd 0.0000 0.0000 0.3463
Pd 0.0000 0.0000 0.6537
Pd 0.0000 0.3463 0.0000
Pd 0.0000 0.3463 0.6537
Pd 0.0000 0.6537 0.0000
Pd 0.0000 0.6537 0.3463
Pd 0.1536 0.6155 0.6155
Pd 0.3463 0.0000 0.0000
Pd 0.3463 0.0000 0.6537
Pd 0.3463 0.6537 0.0000
Pd 0.3845 0.3845 0.3845
Pd 0.3845 0.3845 0.8464
Pd 0.3845 0.8464 0.3845
Pd 0.6155 0.1536 0.6155
Pd 0.6155 0.6155 0.1536
Pd 0.6155 0.6155 0.6155
Pd 0.6537 0.0000 0.0000
Pd 0.6537 0.0000 0.3463
Pd 0.6537 0.3463 0.0000
Pd 0.8464 0.3845 0.3845

Principal peaks in the range 2θ from 10° to 80°, most intense first:
- 2θ = 37.7°, I 100
- 2θ = 35.5°, I 33
- 2θ = 41.2°, I 31
- 2θ = 63.8°, I 29
- 2θ = 43.2°, I 24
- 2θ = 32.3°, I 23
- 2θ = 75.2°, I 19
- 2θ = 65.2°, I 14
- 2θ = 48.8°, I 12
- 2θ = 76.5°, I 9

***

5.
Computed powder diffractogram of Sm2Si5Pd3 for Cu Kα (weighted mean of Kα1 and Kα2), from DFT lattice parameters and positions (PBE).
Lines closer than 0.1° are merged.

Cell: 8.2613 8.2613 8.2613 Å, 105.63 89.52 137.64°
Fractional positions:
Sm 0.1289 0.2332 0.3621
Sm 0.3711 0.7332 0.1043
Sm 0.6289 0.2668 0.8957
Sm 0.8711 0.7668 0.6379
Si 0.0250 0.7500 0.2750
Si 0.1137 0.6514 0.7651
Si 0.2500 0.2500 0.0000
Si 0.3863 0.1514 0.5377
Si 0.4750 0.7500 0.7250
Si 0.5250 0.2500 0.2750
Si 0.6137 0.8486 0.4623
Si 0.7500 0.7500 0.0000
Si 0.8863 0.3486 0.2349
Si 0.9750 0.2500 0.7250
Pd 0.1380 0.8908 0.0288
Pd 0.2500 0.7500 0.5000
Pd 0.3620 0.3908 0.7528
Pd 0.6380 0.6092 0.2472
Pd 0.7500 0.2500 0.5000
Pd 0.8620 0.1092 0.9712

Principal peaks in the range 2θ from 10° to 80°, most intense first:
- 2θ = 34.4°, I 100
- 2θ = 43.2°, I 60
- 2θ = 35.0°, I 43
- 2θ = 35.5°, I 40
- 2θ = 24.4°, I 27
- 2θ = 56.1°, I 24
- 2θ = 29.9°, I 22
- 2θ = 56.7°, I 21
- 2θ = 30.5°, I 20
- 2θ = 50.6°, I 20

***

6.
Computed powder diffractogram of SrSi2Pd2 for Cu Kα (weighted mean of Kα1 and Kα2), from DFT lattice parameters and positions (PBE).
Lines closer than 0.1° are merged.

Cell: 5.8648 5.8648 5.8648 Å, 136.55 136.55 63.14°
Fractional positions:
Sr 0.0000 0.0000 0.0000
Si 0.3748 0.3748 0.0000
Si 0.6252 0.6252 0.0000
Pd 0.2500 0.7500 0.5000
Pd 0.7500 0.2500 0.5000

Principal peaks in the range 2θ from 10° to 80°, most intense first:
- 2θ = 34.3°, I 100
- 2θ = 41.6°, I 41
- 2θ = 17.8°, I 24
- 2θ = 71.2°, I 23
- 2θ = 33.9°, I 18
- 2θ = 63.5°, I 16
- 2θ = 56.1°, I 16
- 2θ = 46.9°, I 15
- 2θ = 35.9°, I 14
- 2θ = 60.3°, I 13